# 1
For PmGe4Ru2, DFT lattice parameters and positions (GGA-PBE) gives the simulated powder diffraction line list in this record (Cu Kα (λ = 1.5418 Å)).

Structural model:
```
data_PmGe4Ru2
_cell_length_a 18.2192
_cell_length_b 4.2180
_cell_length_c 6.4586
_cell_angle_alpha 90.00
_cell_angle_beta 90.00
_cell_angle_gamma 90.00
_symmetry_space_group_name_H-M 'P n m a'
_symmetry_Int_Tables_number 62
_symmetry_space_group_name_Hall '-P 2ac 2n'
loop_
_atom_site_label
_atom_site_fract_x
_atom_site_fract_y
_atom_site_fract_z
_atom_site_occupancy
Pm1 0.1386 0.2500 0.0157 1
Ge1 0.0326 0.7500 0.8733 1
Ge2 0.0830 0.2500 0.4904 1
Ge3 0.1820 0.7500 0.3191 1
Ge4 0.1966 0.7500 0.7377 1
Ru1 0.0248 0.7500 0.2903 1
Ru2 0.2161 0.2500 0.5348 1
```

Largest 10 diffraction maxima, low angle first, 2θ from 15° to 90°:
Position (°2θ)  intensity  h k l
34.0  14  4 0 2
35.4  63  5 1 1
36.4  100  2 1 2
37.2  29  7 0 1
42.9  40  0 2 0
48.5  12  2 1 3
52.1  13  9 1 1
58.1  17  7 2 1
65.3  11  12 1 0
74.3  16  2 3 2

***

# 2
For ThCuSi2Pd, DFT lattice parameters and positions (GGA-PBE) gives the simulated powder diffraction line list in this record (Cu Kα (λ = 1.5418 Å)).

Structural model:
```
data_ThCuSi2Pd
_cell_length_a 4.1595
_cell_length_b 4.1595
_cell_length_c 10.0851
_cell_angle_alpha 90.00
_cell_angle_beta 90.00
_cell_angle_gamma 90.00
_symmetry_space_group_name_H-M 'I -4 m 2'
_symmetry_Int_Tables_number 119
_symmetry_space_group_name_Hall 'I -4 -2'
loop_
_atom_site_label
_atom_site_fract_x
_atom_site_fract_y
_atom_site_fract_z
_atom_site_occupancy
Th1 0.0000 0.0000 0.0000 1
Cu1 0.0000 0.5000 0.2500 1
Si1 0.0000 0.0000 0.3811 1
Pd1 0.0000 0.5000 0.7500 1
```

Largest 10 diffraction maxima, low angle first, 2θ from 15° to 90°:
Position (°2θ)  intensity  h k l
23.1  59  1 0 1
34.3  45  1 0 3
35.3  100  1 1 2
35.6  18  0 0 4
43.5  36  2 0 0
49.8  16  2 1 1
50.3  17  1 0 5
56.5  22  2 1 3
57.4  18  2 0 4
74.6  23  3 1 2

***

# 3
For Nd7Sm2Ho4, DFT lattice parameters and positions (GGA-PBE) gives the simulated powder diffraction line list in this record (Cu Kα (λ = 1.5418 Å)).

Structural model:
```
data_Nd7Sm2Ho4
_cell_length_a 6.2635
_cell_length_b 8.1042
_cell_length_c 9.5948
_cell_angle_alpha 65.12
_cell_angle_beta 83.79
_cell_angle_gamma 82.62
_symmetry_space_group_name_H-M 'P -1'
_symmetry_Int_Tables_number 2
_symmetry_space_group_name_Hall '-P 1'
loop_
_atom_site_label
_atom_site_fract_x
_atom_site_fract_y
_atom_site_fract_z
_atom_site_occupancy
Nd1 0.0000 0.0000 0.0000 1
Nd2 0.0755 0.8455 0.6936 1
Nd3 0.2320 0.5384 0.0771 1
Nd4 0.3865 0.2317 0.4623 1
Sm1 0.1553 0.6915 0.3844 1
Ho1 0.3071 0.3818 0.7709 1
Ho2 0.4618 0.0750 0.1521 1
```

Largest 10 diffraction maxima, low angle first, 2θ from 15° to 90°:
Position (°2θ)  intensity  h k l
30.2  100  1 1 3
30.3  33  2 1 0
35.0  67  1 3 2
50.3  32  0 3 5
50.4  16  3 2 3
59.8  29  1 5 1
59.9  24  4 0 1
62.8  8  2 2 6
82.0  8  4 4 -1
84.5  9  3 3 -4

***

# 4
For KBiH10C4O13, DFT lattice parameters and positions (GGA-PBE) gives the simulated powder diffraction line list in this record (Cu Kα (λ = 1.5418 Å)).

Structural model:
```
data_KBiH10C4O13
_cell_length_a 8.8933
_cell_length_b 17.1938
_cell_length_c 16.5776
_cell_angle_alpha 90.00
_cell_angle_beta 90.00
_cell_angle_gamma 90.00
_symmetry_space_group_name_H-M 'F d d 2'
_symmetry_Int_Tables_number 43
_symmetry_space_group_name_Hall 'F 2 -2d'
loop_
_atom_site_label
_atom_site_fract_x
_atom_site_fract_y
_atom_site_fract_z
_atom_site_occupancy
K1 0.0000 0.0000 0.0000 1
Bi1 0.0000 0.0000 0.5055 1
H1 0.0157 0.1219 0.1386 1
H2 0.0577 0.2879 0.4573 1
H3 0.0692 0.3876 0.3580 1
H4 0.0833 0.2818 0.5496 1
H5 0.0905 0.0013 0.7928 1
C1 0.0395 0.3692 0.8591 1
C2 0.0495 0.1308 0.6436 1
O1 0.0000 0.0000 0.8280 1
O2 0.0218 0.3194 0.8039 1
O3 0.0293 0.2564 0.5053 1
O4 0.0311 0.1815 0.6982 1
O5 0.0547 0.4108 0.1145 1
O6 0.0655 0.0884 0.3879 1
O7 0.1136 0.0969 0.1291 1
```

Largest 10 diffraction maxima, low angle first, 2θ from 15° to 90°:
Position (°2θ)  intensity  h k l
19.2  42  1 3 1
22.5  56  2 2 0
22.7  61  2 0 2
24.5  62  1 3 3
29.9  100  0 4 4
30.9  97  2 4 2
31.3  38  2 2 4
38.4  41  2 0 6
43.5  68  2 6 4
44.0  40  2 4 6

***

# 5
For Tl3Zn3Sn8, DFT lattice parameters and positions (GGA-PBE) gives the simulated powder diffraction line list in this record (Cu Kα (λ = 1.5418 Å)).

Structural model:
```
data_Tl3Zn3Sn8
_cell_length_a 14.2558
_cell_length_b 11.2206
_cell_length_c 4.9194
_cell_angle_alpha 90.00
_cell_angle_beta 109.19
_cell_angle_gamma 90.00
_symmetry_space_group_name_H-M 'C 1 2/m 1'
_symmetry_Int_Tables_number 12
_symmetry_space_group_name_Hall '-C 2y'
loop_
_atom_site_label
_atom_site_fract_x
_atom_site_fract_y
_atom_site_fract_z
_atom_site_occupancy
Tl1 0.0000 0.0000 0.0000 1
Tl2 0.2294 0.5000 0.7296 1
Zn1 0.0000 0.3815 0.5000 1
Zn2 0.0000 0.5000 0.0000 1
Sn1 0.1225 0.1526 0.6233 1
Sn2 0.1429 0.3129 0.1428 1
```

Largest 10 diffraction maxima, low angle first, 2θ from 15° to 90°:
Position (°2θ)  intensity  h k l
30.0  100  1 3 -1
31.0  61  4 2 0
31.1  22  2 2 1
31.5  18  4 2 -1
33.0  53  3 1 1
33.5  43  5 1 -1
36.5  52  2 0 -2
41.9  16  4 4 0
48.3  18  2 2 2
49.0  18  6 2 -2